KLi4CrO5: simulated X-ray diffraction stick pattern (Cu Kα), based on a cell relaxed with PBE+U.

Cell and atoms:
a b c (Å): 5.6050 5.8708 8.3066
angles (deg): 91.49 98.22 118.50
Space group P-1 (No. 2)
Inequivalent atoms, fractional coordinates:
1 K 0.1097 0.2569 0.4141 (multiplicity 2)
2 Li 0.0594 0.8574 0.0850 (multiplicity 2)
3 Li 0.1678 0.4973 0.1252 (multiplicity 2)
4 Li 0.3818 0.8277 0.3748 (multiplicity 2)
5 Li 0.4001 0.1161 0.9136 (multiplicity 2)
6 Cr 0.3666 0.5961 0.7797 (multiplicity 2)
7 O 0.0065 0.6590 0.2720 (multiplicity 2)
8 O 0.2495 0.7333 0.9400 (multiplicity 2)
9 O 0.2765 0.2307 0.0880 (multiplicity 2)
10 O 0.4118 0.7801 0.6185 (multiplicity 2)
11 O 0.4477 0.3340 0.7305 (multiplicity 2)

Peak list (10 most intense, 5 to 70 degrees two-theta, most intense first)
| Position (°2θ) | Rel. int. | h k l |
| --- | --- | --- |
| 17.3 | 100 | 0 1 0 |
| 21.8 | 84 | 1 -1 1 |
| 32.3 | 76 | 1 -2 1 |
| 40.7 | 60 | 2 0 1 |
| 19.6 | 58 | 1 0 -1 |
| 29.4 | 54 | 0 1 2 |
| 41.5 | 54 | -2 2 2 |
| 34.9 | 50 | 1 0 -3 |
| 35.6 | 45 | 0 1 -3 |
| 21.4 | 42 | 0 1 1 |